(1)
Diffraction record for Pa4P3C. The X-ray powder pattern is theoretical, not measured: it uses a cell relaxed with PBE and Cu Kα (λ = 1.5418 Å).

Structure:
```
data_Pa4P3C
_chemical_formula_sum 'Pa8 P6 C2'
_cell_length_a 6.7615
_cell_length_b 7.7894
_cell_length_c 6.6705
_cell_angle_alpha 90.00
_cell_angle_beta 109.57
_cell_angle_gamma 90.00
_space_group_name_H-M_alt 'P 1'
_space_group_IT_number 1
loop_
_space_group_symop_operation_xyz
'x,y,z'
loop_
_atom_site_label
_atom_site_type_symbol
_atom_site_fract_x
_atom_site_fract_y
_atom_site_fract_z
Pa1 Pa 0.2273 0.1137 0.0016
Pa2 Pa 0.2273 0.8863 0.5016
Pa3 Pa 0.2388 0.3617 0.4870
Pa4 Pa 0.2388 0.6383 0.9870
Pa5 Pa 0.7612 0.3617 0.0130
Pa6 Pa 0.7612 0.6383 0.5130
Pa7 Pa 0.7727 0.1137 0.4984
Pa8 Pa 0.7727 0.8863 0.9984
P1 P 0.0000 0.3750 0.7500
P2 P 0.0000 0.6250 0.2500
P3 P 0.5000 0.1243 0.7500
P4 P 0.5000 0.3758 0.2500
P5 P 0.5000 0.6242 0.7500
P6 P 0.5000 0.8757 0.2500
C1 C 0.0000 0.1225 0.2500
C2 C 0.0000 0.8775 0.7500
```

Largest 10 diffraction maxima, sorted by position, 15 to 90 degrees two-theta:
2theta  I/Imax
28.07  91
28.40  30
32.62  100
46.59  35
46.93  12
47.06  24
55.27  13
55.51  18
55.85  14
58.09  12


(2)
Diffraction record for Pm4Y7Sc. The X-ray powder pattern is theoretical, not measured: it uses a cell relaxed with PBE and Cu Kα (λ = 1.5418 Å).

Structure:
```
data_Pm4Y7Sc
_chemical_formula_sum 'Pm4 Y7 Sc1'
_cell_length_a 6.5456
_cell_length_b 6.8135
_cell_length_c 9.0696
_cell_angle_alpha 86.07
_cell_angle_beta 77.16
_cell_angle_gamma 82.44
_space_group_name_H-M_alt 'P 1'
_space_group_IT_number 1
loop_
_space_group_symop_operation_xyz
'x,y,z'
loop_
_atom_site_label
_atom_site_type_symbol
_atom_site_fract_x
_atom_site_fract_y
_atom_site_fract_z
Pm1 Pm 0.1343 0.3092 0.2821
Pm2 Pm 0.3463 0.8848 0.6970
Pm3 Pm 0.6537 0.1152 0.3030
Pm4 Pm 0.8657 0.6908 0.7179
Y1 Y 0.0214 0.2481 0.9511
Y2 Y 0.1882 0.8068 0.3525
Y3 Y 0.3090 0.3954 0.6153
Y4 Y 0.5000 0.5000 0.0000
Y5 Y 0.6910 0.6046 0.3847
Y6 Y 0.8118 0.1932 0.6475
Y7 Y 0.9786 0.7519 0.0489
Sc1 Sc 0.5000 0.0000 0.0000
```

Largest 10 diffraction maxima, sorted by position, 15 to 90 degrees two-theta:
2theta  I/Imax
30.35  52
30.99  53
31.49  79
31.61  77
32.01  100
32.52  48
32.67  26
34.59  18
56.66  22
64.16  19


(3)
Diffraction record for Ba6AgP2. The X-ray powder pattern is theoretical, not measured: it uses a cell relaxed with PBE and Cu Kα (λ = 1.5418 Å).

Structure:
```
data_Ba6AgP2
_chemical_formula_sum 'Ba6 Ag1 P2'
_cell_length_a 8.0380
_cell_length_b 8.0380
_cell_length_c 7.9086
_cell_angle_alpha 90.00
_cell_angle_beta 90.00
_cell_angle_gamma 120.00
_space_group_name_H-M_alt 'P 1'
_space_group_IT_number 1
loop_
_space_group_symop_operation_xyz
'x,y,z'
loop_
_atom_site_label
_atom_site_type_symbol
_atom_site_fract_x
_atom_site_fract_y
_atom_site_fract_z
Ba1 Ba 0.0000 0.3440 0.2286
Ba2 Ba 0.0000 0.6560 0.7714
Ba3 Ba 0.3440 0.0000 0.2286
Ba4 Ba 0.3440 0.3440 0.7714
Ba5 Ba 0.6560 0.0000 0.7714
Ba6 Ba 0.6560 0.6560 0.2286
Ag1 Ag 0.0000 0.0000 0.5000
P1 P 0.3333 0.6667 0.0000
P2 P 0.6667 0.3333 0.0000
```

Largest 10 diffraction maxima, sorted by position, 15 to 90 degrees two-theta:
2theta  I/Imax
16.97  12
22.48  16
24.85  100
31.75  39
38.81  30
40.94  23
45.31  14
46.64  18
61.63  12
62.23  14


(4)
Diffraction record for K4Br2ClF. The X-ray powder pattern is theoretical, not measured: it uses a cell relaxed with PBE and Cu Kα (λ = 1.5418 Å).

Structure:
```
data_K4Br2ClF
_chemical_formula_sum 'K8 Br4 Cl2 F2'
_cell_length_a 8.9438
_cell_length_b 8.9438
_cell_length_c 8.8976
_cell_angle_alpha 119.80
_cell_angle_beta 119.80
_cell_angle_gamma 89.84
_space_group_name_H-M_alt 'P 1'
_space_group_IT_number 1
loop_
_space_group_symop_operation_xyz
'x,y,z'
loop_
_atom_site_label
_atom_site_type_symbol
_atom_site_fract_x
_atom_site_fract_y
_atom_site_fract_z
K1 K 0.2185 0.2256 0.4730
K2 K 0.2256 0.2185 0.9730
K3 K 0.2316 0.7684 0.5075
K4 K 0.2316 0.7684 0.9925
K5 K 0.7684 0.2316 0.0075
K6 K 0.7684 0.2316 0.4925
K7 K 0.7744 0.7815 0.0270
K8 K 0.7815 0.7744 0.5270
Br1 Br 0.0000 0.5000 0.0000
Br2 Br 0.5000 0.0000 0.5000
Br3 Br 0.5000 0.5000 0.0000
Br4 Br 0.5000 0.5000 0.5000
Cl1 Cl 0.0000 0.5000 0.5000
Cl2 Cl 0.5000 0.0000 0.0000
F1 F 0.0000 0.0000 0.0000
F2 F 0.0000 0.0000 0.5000
```

Largest 10 diffraction maxima, sorted by position, 15 to 90 degrees two-theta:
2theta  I/Imax
23.36  18
28.17  100
28.26  49
39.97  17
40.33  67
40.56  18
49.67  16
50.17  17
65.99  13
73.61  14


What did the second record say?
Diffraction record for Pm4Y7Sc. The X-ray powder pattern is theoretical, not measured: it uses a cell relaxed with PBE and Cu Kα (λ = 1.5418 Å).

Structure:
```
data_Pm4Y7Sc
_chemical_formula_sum 'Pm4 Y7 Sc1'
_cell_length_a 6.5456
_cell_length_b 6.8135
_cell_length_c 9.0696
_cell_angle_alpha 86.07
_cell_angle_beta 77.16
_cell_angle_gamma 82.44
_space_group_name_H-M_alt 'P 1'
_space_group_IT_number 1
loop_
_space_group_symop_operation_xyz
'x,y,z'
loop_
_atom_site_label
_atom_site_type_symbol
_atom_site_fract_x
_atom_site_fract_y
_atom_site_fract_z
Pm1 Pm 0.1343 0.3092 0.2821
Pm2 Pm 0.3463 0.8848 0.6970
Pm3 Pm 0.6537 0.1152 0.3030
Pm4 Pm 0.8657 0.6908 0.7179
Y1 Y 0.0214 0.2481 0.9511
Y2 Y 0.1882 0.8068 0.3525
Y3 Y 0.3090 0.3954 0.6153
Y4 Y 0.5000 0.5000 0.0000
Y5 Y 0.6910 0.6046 0.3847
Y6 Y 0.8118 0.1932 0.6475
Y7 Y 0.9786 0.7519 0.0489
Sc1 Sc 0.5000 0.0000 0.0000
```

Largest 10 diffraction maxima, sorted by position, 15 to 90 degrees two-theta:
2theta  I/Imax
30.35  52
30.99  53
31.49  79
31.61  77
32.01  100
32.52  48
32.67  26
34.59  18
56.66  22
64.16  19